No. 1
The following is a calculated powder diffractogram of BaP2PdS8. It was derived from a cell relaxed with PBE, using Cu Kα.

Structural model:
a b c (Å): 5.9010 5.9010 8.8879
angles (deg): 90.00 90.00 120.00
Space group P-3 (No. 147)
Asymmetric unit:
Ba: 0.0000 0.0000 0.0000 x1
P: 0.3333 0.6667 0.7287 x2
Pd: 0.0000 0.0000 0.5000 x1
S: 0.0058 0.6803 0.3289 x6
S: 0.3333 0.6667 0.9556 x2

Principal peaks in the range 2θ = 10–90°, sorted by position:
- 17.35°, I = 789
- 20.02°, I = 266
- 26.58°, I = 1000
- 30.29°, I = 457
- 31.96°, I = 429
- 36.56°, I = 831
- 40.73°, I = 348
- 44.46°, I = 191
- 51.48°, I = 419
- 51.59°, I = 334
- 53.82°, I = 360
- 69.59°, I = 192

No. 2
The following is a calculated powder diffractogram of Nd3Ho5Th2. It was derived from a cell relaxed with PBE, using Cu Kα.

Structural model:
a b c (Å): 10.788 17.249 8.963
angles (deg): 90.00 126.88 90.00
Space group C2/c (No. 15)
Asymmetric unit:
Nd: 0.000 0.223 0.250 x4
Nd: 0.145 0.123 0.039 x8
Ho: 0.000 0.031 0.250 x4
Ho: 0.000 0.279 0.750 x4
Ho: 0.000 0.467 0.750 x4
Ho: 0.249 0.114 0.751 x8
Th: 0.137 0.379 0.525 x8

Principal peaks in the range 2θ = 10–90°, sorted by position:
- 20.60°, I = 189
- 29.30°, I = 671
- 31.71°, I = 1000
- 32.48°, I = 210
- 33.22°, I = 417
- 33.59°, I = 150
- 35.38°, I = 248
- 47.14°, I = 181
- 49.60°, I = 151
- 56.96°, I = 104
- 62.14°, I = 273
- 71.51°, I = 118